Record 1
Structure and calculated powder X-ray diffraction pattern of LuOF (a cell relaxed with PBE; Cu Kα, 1.54184 Å).
Lines closer than 0.1° are merged.

Structure:
```
LuOF
1.0
5.4703 0.0000 0.0000
0.0000 5.4000 0.0000
-0.9440 0.0000 5.4098
Lu O F
4 4 4
Direct
0.1929 0.0262 0.2870 Lu
0.1929 0.4738 0.7870 Lu
0.8071 0.5262 0.2130 Lu
0.8071 0.9738 0.7130 Lu
0.0405 0.7465 0.5102 O
0.0405 0.7535 0.0102 O
0.9595 0.2465 0.9898 O
0.9595 0.2535 0.4898 O
0.4425 0.1744 0.6564 F
0.4425 0.3256 0.1564 F
0.5575 0.6744 0.8436 F
0.5575 0.8256 0.3436 F
```

Peak list (10 most intense, 10 to 80 degrees two-theta, sorted by position)
5.389 Å, intensity 27
3.820 Å, intensity 19
3.313 Å, intensity 100
2.953 Å, intensity 93
2.703 Å, intensity 55
2.340 Å, intensity 37
1.909 Å, intensity 47
1.874 Å, intensity 22
1.711 Å, intensity 16
1.603 Å, intensity 16

Record 2
Structure and calculated powder X-ray diffraction pattern of Lu3O2F5 (a cell relaxed with PBE; Cu Kα, 1.54184 Å).
Lines closer than 0.1° are merged.

Structure:
```
Lu3O2F5
1.0
5.5335 0.0000 0.0000
0.0000 17.0140 0.0000
0.0000 0.0000 5.2747
Lu O F
12 8 20
Direct
0.1705 0.0977 0.0401 Lu
0.1705 0.4023 0.0401 Lu
0.2343 0.2500 0.4566 Lu
0.2657 0.7500 0.9566 Lu
0.3295 0.5977 0.5401 Lu
0.3295 0.9023 0.5401 Lu
0.6705 0.0977 0.4599 Lu
0.6705 0.4023 0.4599 Lu
0.7343 0.2500 0.0434 Lu
0.7657 0.7500 0.5434 Lu
0.8295 0.5977 0.9599 Lu
0.8295 0.9023 0.9599 Lu
0.0408 0.6689 0.7046 O
0.0408 0.8311 0.7046 O
0.4592 0.1689 0.2046 O
0.4592 0.3311 0.2046 O
0.5408 0.6689 0.7954 O
0.5408 0.8311 0.7954 O
0.9592 0.1689 0.2954 O
0.9592 0.3311 0.2954 O
0.1036 0.2500 0.8528 F
0.1212 0.5157 0.7888 F
0.1212 0.9843 0.7888 F
0.1621 0.6255 0.1796 F
0.1621 0.8745 0.1796 F
0.3379 0.1255 0.6796 F
0.3379 0.3745 0.6796 F
0.3788 0.0157 0.2888 F
0.3788 0.4843 0.2888 F
0.3964 0.7500 0.3528 F
0.6036 0.2500 0.6472 F
0.6212 0.5157 0.7112 F
0.6212 0.9843 0.7112 F
0.6621 0.6255 0.3204 F
0.6621 0.8745 0.3204 F
0.8379 0.1255 0.8204 F
0.8379 0.3745 0.8204 F
0.8788 0.0157 0.2112 F
0.8788 0.4843 0.2112 F
0.8964 0.7500 0.1472 F
```

Peak list (10 most intense, 10 to 80 degrees two-theta, sorted by position)
3.818 Å, intensity 11
3.167 Å, intensity 100
2.837 Å, intensity 25
2.767 Å, intensity 11
2.637 Å, intensity 12
2.077 Å, intensity 11
1.980 Å, intensity 9
1.931 Å, intensity 14
1.694 Å, intensity 13
1.607 Å, intensity 10

Record 3
Structure and calculated powder X-ray diffraction pattern of LuPtF7 (a cell relaxed with PBE; Cu Kα, 1.54184 Å).
Lines closer than 0.1° are merged.

Structure:
```
LuPtF7
1.0
8.7804 0.0000 0.0000
0.0000 5.4542 0.0000
-5.4531 0.0000 10.5156
Lu Pt F
4 4 28
Direct
0.1827 0.2366 0.2628 Lu
0.1827 0.2634 0.7628 Lu
0.8173 0.7366 0.2372 Lu
0.8173 0.7634 0.7372 Lu
0.2725 0.7408 0.0419 Pt
0.2725 0.7592 0.5419 Pt
0.7275 0.2408 0.4581 Pt
0.7275 0.2592 0.9581 Pt
0.0210 0.7382 0.9466 F
0.0210 0.7618 0.4466 F
0.0309 0.5901 0.7319 F
0.0309 0.9099 0.2319 F
0.2580 0.5450 0.1769 F
0.2580 0.9550 0.6769 F
0.2708 0.0383 0.1356 F
0.2708 0.4617 0.6356 F
0.2803 0.0630 0.4543 F
0.2803 0.4370 0.9543 F
0.2918 0.5582 0.4112 F
0.2918 0.9418 0.9112 F
0.4753 0.2317 0.3590 F
0.4753 0.2683 0.8590 F
0.5247 0.7317 0.1410 F
0.5247 0.7683 0.6410 F
0.7082 0.0582 0.0888 F
0.7082 0.4418 0.5888 F
0.7197 0.5630 0.0457 F
0.7197 0.9370 0.5457 F
0.7292 0.5383 0.3644 F
0.7292 0.9617 0.8644 F
0.7420 0.0450 0.3231 F
0.7420 0.4550 0.8231 F
0.9691 0.0901 0.7681 F
0.9691 0.4099 0.2681 F
0.9790 0.2382 0.5534 F
0.9790 0.2618 0.0534 F
```

Peak list (10 most intense, 10 to 80 degrees two-theta, sorted by position)
3.960 Å, intensity 100
3.897 Å, intensity 41
3.785 Å, intensity 13
3.321 Å, intensity 18
3.171 Å, intensity 13
3.033 Å, intensity 34
2.931 Å, intensity 16
2.727 Å, intensity 17
1.996 Å, intensity 25
1.856 Å, intensity 16

Record 4
Structure and calculated powder X-ray diffraction pattern of RbLu3F10 (a cell relaxed with PBE; Cu Kα, 1.54184 Å).
Lines closer than 0.1° are merged.

Structure:
```
RbLu3F10
1.0
4.2483 -6.6269 0.0000
4.2483 6.6269 0.0000
0.0000 0.0000 16.1413
Rb Lu F
4 12 40
Direct
0.0000 0.0000 0.0000 Rb
0.0000 0.0000 0.5000 Rb
0.5000 0.5000 0.0000 Rb
0.5000 0.5000 0.5000 Rb
0.0201 0.4765 0.1129 Lu
0.0235 0.4799 0.3871 Lu
0.2490 0.2510 0.7500 Lu
0.2510 0.2490 0.2500 Lu
0.4765 0.0201 0.8871 Lu
0.4799 0.0235 0.6129 Lu
0.5201 0.9765 0.3871 Lu
0.5235 0.9799 0.1129 Lu
0.7490 0.7510 0.7500 Lu
0.7510 0.7490 0.2500 Lu
0.9765 0.5201 0.6129 Lu
0.9799 0.5235 0.8871 Lu
0.0048 0.9952 0.7678 F
0.0695 0.4305 0.2500 F
0.0819 0.3433 0.6722 F
0.0891 0.4075 0.9875 F
0.0925 0.4109 0.5125 F
0.1567 0.4181 0.8278 F
0.1701 0.2978 0.3729 F
0.2022 0.3299 0.1271 F
0.2083 0.7917 0.8942 F
0.2319 0.7681 0.6135 F
0.2681 0.7319 0.1135 F
0.2917 0.7083 0.3942 F
0.2978 0.1701 0.6271 F
0.3299 0.2022 0.8729 F
0.3433 0.0819 0.3278 F
0.4075 0.0891 0.0125 F
0.4109 0.0925 0.4875 F
0.4181 0.1567 0.1722 F
0.4305 0.0695 0.7500 F
0.4952 0.5048 0.2678 F
0.5048 0.4952 0.7322 F
0.5695 0.9305 0.2500 F
0.5819 0.8433 0.8278 F
0.5891 0.9075 0.5125 F
0.5925 0.9109 0.9875 F
0.6567 0.9181 0.6722 F
0.6701 0.7978 0.1271 F
0.7022 0.8299 0.3729 F
0.7083 0.2917 0.6058 F
0.7319 0.2681 0.8865 F
0.7681 0.2319 0.3865 F
0.7917 0.2083 0.1058 F
0.7978 0.6701 0.8729 F
0.8299 0.7022 0.6271 F
0.8433 0.5819 0.1722 F
0.9075 0.5891 0.4875 F
0.9109 0.5925 0.0125 F
0.9181 0.6567 0.3278 F
0.9305 0.5695 0.7500 F
0.9952 0.0048 0.2322 F
```

Peak list (10 most intense, 10 to 80 degrees two-theta, sorted by position)
5.122 Å, intensity 22
4.248 Å, intensity 66
3.447 Å, intensity 100
3.313 Å, intensity 39
3.270 Å, intensity 43
2.677 Å, intensity 27
2.124 Å, intensity 24
1.938 Å, intensity 24
1.874 Å, intensity 19
1.808 Å, intensity 33

Record 5
Structure and calculated powder X-ray diffraction pattern of Rb3LuF6 (a cell relaxed with PBE; Cu Kα, 1.54184 Å).
Lines closer than 0.1° are merged.

Structure:
```
Rb3LuF6
1.0
0.0000 4.7980 4.7980
4.7980 0.0000 4.7980
4.7980 4.7980 0.0000
Rb Lu F
3 1 6
Direct
0.0000 0.0000 0.0000 Rb
0.2500 0.2500 0.2500 Rb
0.7500 0.7500 0.7500 Rb
0.5000 0.5000 0.5000 Lu
0.2789 0.2789 0.7211 F
0.2789 0.7211 0.2789 F
0.2789 0.7211 0.7211 F
0.7211 0.2789 0.2789 F
0.7211 0.2789 0.7211 F
0.7211 0.7211 0.2789 F
```

Peak list (10 most intense, 10 to 80 degrees two-theta, sorted by position)
5.540 Å, intensity 16
4.798 Å, intensity 12
3.393 Å, intensity 100
2.893 Å, intensity 5
2.399 Å, intensity 36
1.959 Å, intensity 41
1.696 Å, intensity 23
1.517 Å, intensity 21
1.385 Å, intensity 7
1.282 Å, intensity 23

Record 6
Structure and calculated powder X-ray diffraction pattern of LuSF (a cell relaxed with PBE; Cu Kα, 1.54184 Å).
Lines closer than 0.1° are merged.

Structure:
```
LuSF
1.0
1.9846 1.1458 8.2468
-1.9846 1.1458 8.2468
0.0000 -2.2916 8.2468
Lu S F
2 2 2
Direct
0.0000 0.0000 0.0000 Lu
0.5000 0.5000 0.5000 Lu
0.1092 0.1092 0.1092 S
0.8908 0.8908 0.8908 S
0.3326 0.3326 0.3326 F
0.6674 0.6674 0.6674 F
```

Peak list (10 most intense, 10 to 80 degrees two-theta, sorted by position)
4.123 Å, intensity 61
3.312 Å, intensity 100
3.005 Å, intensity 47
2.299 Å, intensity 45
2.008 Å, intensity 32
1.985 Å, intensity 42
1.788 Å, intensity 37
1.702 Å, intensity 15
1.430 Å, intensity 19
1.411 Å, intensity 18

Record 7
Structure and calculated powder X-ray diffraction pattern of LuSeF (a cell relaxed with PBE; Cu Kα, 1.54184 Å).
Lines closer than 0.1° are merged.

Structure:
```
LuSeF
1.0
4.0231 0.0000 0.0000
-2.0115 3.4841 0.0000
0.0000 0.0000 17.5450
Lu Se F
4 4 4
Direct
0.0000 0.0000 0.0000 Lu
0.0000 0.0000 0.5000 Lu
0.3333 0.6667 0.2500 Lu
0.6667 0.3333 0.7500 Lu
0.3333 0.6667 0.0888 Se
0.3333 0.6667 0.4112 Se
0.6667 0.3333 0.5888 Se
0.6667 0.3333 0.9112 Se
0.0000 0.0000 0.2500 F
0.0000 0.0000 0.7500 F
0.3333 0.6667 0.7500 F
0.6667 0.3333 0.2500 F
```

Peak list (10 most intense, 10 to 80 degrees two-theta, sorted by position)
4.386 Å, intensity 60
3.417 Å, intensity 100
3.238 Å, intensity 94
2.728 Å, intensity 28
2.472 Å, intensity 32
2.240 Å, intensity 81
2.035 Å, intensity 30
2.012 Å, intensity 80
1.828 Å, intensity 33
1.482 Å, intensity 24

Record 8
Structure and calculated powder X-ray diffraction pattern of Sr4Lu3F17 (a cell relaxed with PBE; Cu Kα, 1.54184 Å).
Lines closer than 0.1° are merged.

Structure:
```
Sr4Lu3F17
1.0
8.9677 0.0000 0.0000
2.6230 8.5929 0.0000
2.6261 1.9849 8.3948
Sr Lu F
8 6 34
Direct
0.0000 0.0000 0.0000 Sr
0.0434 0.7913 0.6244 Sr
0.2022 0.3621 0.9415 Sr
0.2553 0.1635 0.5769 Sr
0.3581 0.9433 0.2002 Sr
0.4150 0.7445 0.8447 Sr
0.5711 0.3204 0.1537 Sr
0.6197 0.1014 0.7827 Sr
0.1261 0.5830 0.2793 Lu
0.4682 0.5203 0.4998 Lu
0.6986 0.8942 0.4221 Lu
0.7819 0.6591 0.0640 Lu
0.8438 0.4418 0.7285 Lu
0.9203 0.2327 0.3515 Lu
0.0256 0.6571 0.0647 F
0.0522 0.2660 0.8078 F
0.0537 0.5048 0.5436 F
0.0938 0.1344 0.1493 F
0.1324 0.3366 0.2828 F
0.1328 0.0354 0.4370 F
0.1723 0.9170 0.7511 F
0.2245 0.7905 0.1098 F
0.2634 0.6979 0.4044 F
0.2928 0.6006 0.7140 F
0.3124 0.0480 0.8925 F
0.3293 0.5063 0.0619 F
0.3497 0.4113 0.3772 F
0.3922 0.3109 0.6751 F
0.4489 0.1891 0.0261 F
0.4833 0.0722 0.3428 F
0.5199 0.7497 0.4783 F
0.5237 0.9689 0.6307 F
0.5687 0.5959 0.2388 F
0.5718 0.8341 0.9777 F
0.6159 0.4572 0.6775 F
0.6569 0.3145 0.4313 F
0.6642 0.5419 0.9304 F
0.7189 0.8524 0.1891 F
0.7622 0.2283 0.9069 F
0.7677 0.7038 0.6254 F
0.7949 0.1001 0.2457 F
0.8207 0.0155 0.5322 F
0.8551 0.8802 0.8701 F
0.8583 0.3930 0.1292 F
0.8667 0.5357 0.3345 F
0.9105 0.2581 0.5876 F
0.9530 0.5667 0.8439 F
0.9602 0.8009 0.3424 F
```

Peak list (10 most intense, 10 to 80 degrees two-theta, sorted by position)
8.372 Å, intensity 30
3.306 Å, intensity 52
3.290 Å, intensity 100
3.268 Å, intensity 48
2.853 Å, intensity 26
2.846 Å, intensity 51
2.022 Å, intensity 41
2.016 Å, intensity 42
2.004 Å, intensity 40
1.722 Å, intensity 36

Record 9
Structure and calculated powder X-ray diffraction pattern of LuZrF7 (a cell relaxed with PBE; Cu Kα, 1.54184 Å).
Lines closer than 0.1° are merged.

Structure:
```
LuZrF7
1.0
6.0260 0.0000 0.0000
0.0000 5.6479 0.0000
-1.7596 0.0000 8.0184
Lu Zr F
2 2 14
Direct
0.1531 0.0000 0.1818 Lu
0.8469 0.5000 0.8182 Lu
0.3120 0.9895 0.7236 Zr
0.6880 0.4895 0.2764 Zr
0.0385 0.2061 0.7131 F
0.0452 0.3071 0.0214 F
0.1172 0.6885 0.7200 F
0.2539 0.9948 0.4711 F
0.3607 0.9876 0.9780 F
0.4170 0.2671 0.2653 F
0.4541 0.7576 0.2605 F
0.5459 0.2576 0.7395 F
0.5830 0.7671 0.7347 F
0.6393 0.4876 0.0220 F
0.7461 0.4948 0.5289 F
0.8828 0.1885 0.2800 F
0.9548 0.8071 0.9786 F
0.9615 0.7061 0.2869 F
```

Peak list (10 most intense, 10 to 80 degrees two-theta, sorted by position)
8.018 Å, intensity 14
4.075 Å, intensity 100
4.009 Å, intensity 35
3.433 Å, intensity 27
3.269 Å, intensity 18
3.097 Å, intensity 31
2.824 Å, intensity 14
2.049 Å, intensity 15
2.037 Å, intensity 17
1.891 Å, intensity 27

Record 10
Structure and calculated powder X-ray diffraction pattern of MgF3 (a cell relaxed with PBE; Cu Kα, 1.54184 Å).
Lines closer than 0.1° are merged.

Structure:
```
MgF3
1.0
-1.5712 1.5712 3.9413
1.5712 -1.5712 3.9413
1.5712 1.5712 -3.9413
Mg F
1 3
Direct
0.0000 0.0000 0.0000 Mg
0.2500 0.7500 0.5000 F
0.5000 0.5000 0.0000 F
0.7500 0.2500 0.5000 F
```

Peak list (10 most intense, 10 to 80 degrees two-theta, sorted by position)
3.941 Å, intensity 1
2.919 Å, intensity 2
2.016 Å, intensity 1
1.971 Å, intensity 27
1.936 Å, intensity 100
1.571 Å, intensity 22
1.474 Å, intensity 1
1.383 Å, intensity 1
1.239 Å, intensity 1
1.229 Å, intensity 16